The following is a simulated X-ray diffraction stick pattern of Rb2ZrCoBr6. It was derived from a crystal structure in Alexandria, relaxed with PBE, using Cu Kα (weighted mean of Kα1 and Kα2).
Kinematic intensities with the Lorentz-polarization factor, no thermal factor.

Top 8 peaks for 10 to 80 degrees two-theta, by angle:
2θ (°)	I (rel.)
16.54	192
23.48	203
28.86	765
33.44	1000
48.02	700
56.99	323
59.78	238
77.66	133

Structural model:
Lattice parameters (Å, degrees): 10.718 10.718 10.718 90.00 90.00 90.00
Space group Fm-3m (No. 225)
Asymmetric unit:
Rb: 0.250 0.250 0.250
Zr: 0.000 0.000 0.000
Co: 0.000 0.000 0.500
Br: 0.000 0.000 0.254

***

The following is a simulated X-ray diffraction stick pattern of CoReBr. It was derived from a crystal structure in Alexandria, relaxed with PBE, using Cu Kα (weighted mean of Kα1 and Kα2).
Kinematic intensities with the Lorentz-polarization factor, no thermal factor.

Top 8 peaks for 10 to 80 degrees two-theta, by angle:
2θ (°)	I (rel.)
14.57	338
35.07	132
38.16	1000
44.72	172
46.38	551
62.91	202
72.31	147
76.01	133

Structural model:
Lattice parameters (Å, degrees): 2.9549 2.9549 6.0788 90.00 90.00 120.00
Space group P3m1 (No. 156)
Asymmetric unit:
Co: 0.0000 0.0000 0.0000
Re: 0.6667 0.3333 0.2992
Br: 0.3333 0.6667 0.6632

***

The following is a simulated X-ray diffraction stick pattern of CoRh2Br. It was derived from a crystal structure in Alexandria, relaxed with PBE, using Cu Kα (weighted mean of Kα1 and Kα2).
Kinematic intensities with the Lorentz-polarization factor, no thermal factor.

Top 8 peaks for 10 to 80 degrees two-theta, by angle:
2θ (°)	I (rel.)
10.82	79
38.45	1000
40.06	38
44.32	208
46.50	561
63.62	219
72.01	134
76.85	124

Structural model:
Lattice parameters (Å, degrees): 2.9251 2.9251 24.5263 90.00 90.00 120.00
Space group R3m (No. 160, hexagonal axes)
Asymmetric unit:
Co: 0.0000 0.0000 0.0000
Rh: 0.0000 0.0000 0.4988
Rh: 0.0000 0.0000 0.7457
Br: 0.0000 0.0000 0.2550

***

The following is a simulated X-ray diffraction stick pattern of Sm6Co2RuBr3. It was derived from a crystal structure in Alexandria, relaxed with PBE, using Cu Kα (weighted mean of Kα1 and Kα2).
Kinematic intensities with the Lorentz-polarization factor, no thermal factor.

Top 8 peaks for 10 to 80 degrees two-theta, by angle:
2θ (°)	I (rel.)
11.35	169
27.09	126
30.21	1000
32.37	134
37.58	139
40.55	278
45.82	362
75.05	142

Structural model:
Lattice parameters (Å, degrees): 19.326 3.958 9.045 90.00 113.29 90.00
Space group C2/m (No. 12)
Asymmetric unit:
Sm: 0.013 0.000 0.225
Sm: 0.156 0.500 0.119
Sm: 0.180 0.500 0.552
Co: 0.168 0.000 0.337
Ru: 0.000 0.500 0.000
Br: 0.000 0.500 0.500
Br: 0.166 0.000 0.833